The following is a computed powder diffractogram of Sr3Mg2In9. It was derived from a cell relaxed with GGA-PBE, using Cu Ka.
Neutral-atom scattering factors, no anomalous dispersion.

Largest 8 diffraction maxima, in order of rising 2θ, 10 to 90 degrees two-theta:
h k l	2θ (°)	I/Imax
0 2 4	29.50	41
1 3 0	30.06	53
1 2 3	30.61	100
2 0 0	36.84	53
1 4 1	37.44	40
0 0 6	37.56	28
1 3 4	39.34	27
1 4 7	58.82	32

Atomic structure:
Unit cell a=4.8789 b=11.2498 c=14.3692 alpha=90.00 beta=90.00 gamma=90.00
Space group Immm (No. 71)
Asymmetric unit:
Sr: 0.0000 0.0000 0.0000
Sr: 0.0000 0.0000 0.3006
Mg: 0.0000 0.1869 0.5000
In: 0.0000 0.2830 0.1431
In: 0.0000 0.3684 0.3458
In: 0.0000 0.5000 0.0000